(1)
For NaY2F7, a structure optimized by DFT (PBE) gives the theoretical X-ray diffraction stick pattern in this record (CuKα).
No peak broadening, texture or thermal motion is included.

Main lines, sorted by position (2θ = 15–90°):
2θ/deg	d [Å]	Rel. int.	(hkl)
16.6	5.343	100	0 0 2
25.0	3.562	41	0 0 3
26.0	3.432	85	2 0 -1
26.4	3.374	78	1 1 -1
29.4	3.033	23	1 1 -2
45.5	1.993	93	0 2 0
47.4	1.917	24	2 0 4
47.8	1.904	44	1 1 -5

Structure:
```
data_NaY2F7
_chemical_formula_sum 'Na2 Y4 F14'
_symmetry_space_group_name_H-M 'C 1 2/m 1'
_symmetry_Int_Tables_number 12
_symmetry_space_group_name_Hall '-C 2y'
_cell_length_a 6.907
_cell_length_b 3.986
_cell_length_c 10.910
_cell_angle_alpha 90.00
_cell_angle_beta 101.63
_cell_angle_gamma 90.00
loop_
_atom_site_label
_atom_site_type_symbol
_atom_site_fract_x
_atom_site_fract_y
_atom_site_fract_z
Na1 Na 0.000 0.000 0.000
Y1 Y 0.086 0.500 0.707
F1 F 0.000 0.500 0.500
F2 F 0.066 0.000 0.244
F3 F 0.142 0.500 0.908
F4 F 0.238 0.000 0.666
```

---

(2)
For NaY3F10, a structure optimized by DFT (PBE) gives the theoretical X-ray diffraction stick pattern in this record (CuKα).
No peak broadening, texture or thermal motion is included.

Main lines, sorted by position (2θ = 15–90°):
2θ/deg	d [Å]	Rel. int.	(hkl)
15.7	5.655	17	1 0 0
22.7	3.915	20	1 0 2
27.7	3.219	100	1 1 2
31.6	2.828	20	2 0 0
45.4	1.999	45	2 2 0
46.4	1.958	74	2 0 4
54.0	1.698	31	3 1 2
84.5	1.146	18	4 2 4

Structure:
```
data_NaY3F10
_chemical_formula_sum 'Na2 Y6 F20'
_symmetry_space_group_name_H-M 'P 42/m m c'
_symmetry_Int_Tables_number 131
_symmetry_space_group_name_Hall '-P 4c 2'
_cell_length_a 5.655
_cell_length_b 5.655
_cell_length_c 10.853
_cell_angle_alpha 90.00
_cell_angle_beta 90.00
_cell_angle_gamma 90.00
loop_
_atom_site_label
_atom_site_type_symbol
_atom_site_fract_x
_atom_site_fract_y
_atom_site_fract_z
Na1 Na 0.000 0.000 0.000
Y1 Y 0.000 0.500 0.225
Y2 Y 0.500 0.500 0.000
F1 F 0.000 0.000 0.250
F2 F 0.000 0.500 0.000
F3 F 0.261 0.288 0.368
```

---

(3)
For Na5Zr2F13, a structure optimized by DFT (PBE) gives the theoretical X-ray diffraction stick pattern in this record (CuKα).
No peak broadening, texture or thermal motion is included.

Main lines, sorted by position (2θ = 15–90°):
2θ/deg	d [Å]	Rel. int.	(hkl)
17.6	5.039	85	1 1 0
19.5	4.554	33	2 0 1
20.9	4.250	38	0 0 2
28.2	3.166	75	1 1 2
28.8	3.099	100	3 1 -1
46.9	1.936	48	2 2 -3
47.2	1.926	51	4 2 1
47.3	1.921	32	2 0 4

Structure:
```
data_Na5Zr2F13
_chemical_formula_sum 'Na10 Zr4 F26'
_symmetry_space_group_name_H-M 'C 1 2/m 1'
_symmetry_Int_Tables_number 12
_symmetry_space_group_name_Hall '-C 2y'
_cell_length_a 11.780
_cell_length_b 5.585
_cell_length_c 8.573
_cell_angle_alpha 90.00
_cell_angle_beta 97.28
_cell_angle_gamma 90.00
loop_
_atom_site_label
_atom_site_type_symbol
_atom_site_fract_x
_atom_site_fract_y
_atom_site_fract_z
Na1 Na 0.000 0.000 0.000
Na2 Na 0.163 0.000 0.429
Na3 Na 0.222 0.500 0.154
Zr1 Zr 0.073 0.500 0.744
F1 F 0.000 0.500 0.500
F2 F 0.062 0.262 0.251
F3 F 0.133 0.274 0.930
F4 F 0.182 0.263 0.643
```

---

(4)
For Na5Zr2F13, a structure optimized by DFT (PBE) gives the theoretical X-ray diffraction stick pattern in this record (CuKα).
No peak broadening, texture or thermal motion is included.

Main lines, sorted by position (2θ = 15–90°):
2θ/deg	d [Å]	Rel. int.	(hkl)
17.0	5.208	100	1 1 0
18.2	4.865	22	2 0 1
19.3	4.596	37	1 1 -1
25.4	3.501	19	1 1 -2
29.4	3.040	28	3 1 1
44.2	2.050	25	4 2 -1
45.0	2.016	23	2 2 -3
45.1	2.009	16	4 2 1

Structure:
```
data_Na5Zr2F13
_chemical_formula_sum 'Na10 Zr4 F26'
_symmetry_space_group_name_H-M 'C 1 2/m 1'
_symmetry_Int_Tables_number 12
_symmetry_space_group_name_Hall '-C 2y'
_cell_length_a 12.016
_cell_length_b 5.786
_cell_length_c 9.218
_cell_angle_alpha 90.00
_cell_angle_beta 94.06
_cell_angle_gamma 90.00
loop_
_atom_site_label
_atom_site_type_symbol
_atom_site_fract_x
_atom_site_fract_y
_atom_site_fract_z
Na1 Na 0.000 0.000 0.000
Na2 Na 0.161 0.500 0.079
Na3 Na 0.193 0.000 0.393
Zr1 Zr 0.081 0.000 0.721
F1 F 0.000 0.000 0.500
F2 F 0.054 0.216 0.235
F3 F 0.144 0.210 0.896
F4 F 0.176 0.227 0.617
```

---

(5)
For Na2ZrF6, a structure optimized by DFT (PBE) gives the theoretical X-ray diffraction stick pattern in this record (CuKα).
No peak broadening, texture or thermal motion is included.

Main lines, sorted by position (2θ = 15–90°):
2θ/deg	d [Å]	Rel. int.	(hkl)
17.0	5.211	94	0 1 1
18.2	4.871	67	1 0 -2
21.8	4.069	41	0 0 4
22.9	3.888	80	1 1 -1
27.0	3.301	100	1 1 -3
29.0	3.080	91	1 1 3
46.7	1.944	40	2 2 -2
47.0	1.931	54	0 2 6

Structure:
```
data_Na2ZrF6
_chemical_formula_sum 'Na8 Zr4 F24'
_symmetry_space_group_name_H-M 'P 1 21/c 1'
_symmetry_Int_Tables_number 14
_symmetry_space_group_name_Hall '-P 2ybc'
_cell_length_a 5.657
_cell_length_b 5.501
_cell_length_c 16.366
_cell_angle_alpha 90.00
_cell_angle_beta 95.97
_cell_angle_gamma 90.00
loop_
_atom_site_label
_atom_site_type_symbol
_atom_site_fract_x
_atom_site_fract_y
_atom_site_fract_z
Na1 Na 0.173 0.002 0.092
Na2 Na 0.256 0.538 0.253
Zr1 Zr 0.324 0.052 0.401
F1 F 0.070 0.218 0.317
F2 F 0.102 0.729 0.865
F3 F 0.154 0.225 0.975
F4 F 0.370 0.671 0.012
F5 F 0.442 0.181 0.650
F6 F 0.481 0.710 0.665
```

---

(6)
For NbF4, a structure optimized by DFT (PBE) gives the theoretical X-ray diffraction stick pattern in this record (CuKα).
No peak broadening, texture or thermal motion is included.

Main lines, sorted by position (2θ = 15–90°):
2θ/deg	d [Å]	Rel. int.	(hkl)
20.5	4.333	32	0 0 2
23.7	3.758	100	1 0 1
30.3	2.949	23	1 1 0
37.9	2.375	15	1 0 3
41.7	2.166	13	0 0 4
43.4	2.086	26	2 0 0
50.0	1.824	25	2 1 1
61.7	1.502	14	2 0 4

Structure:
```
data_NbF4
_chemical_formula_sum 'Nb2 F8'
_symmetry_space_group_name_H-M 'I 4/m m m'
_symmetry_Int_Tables_number 139
_symmetry_space_group_name_Hall '-I 4 2'
_cell_length_a 4.171
_cell_length_b 4.171
_cell_length_c 8.665
_cell_angle_alpha 90.00
_cell_angle_beta 90.00
_cell_angle_gamma 90.00
loop_
_atom_site_label
_atom_site_type_symbol
_atom_site_fract_x
_atom_site_fract_y
_atom_site_fract_z
Nb1 Nb 0.000 0.000 0.000
F1 F 0.000 0.000 0.220
F2 F 0.000 0.500 0.000
```